Entry 1:
# Ba2Te2AuF2
Computed powder diffraction line list, Cu Kα (λ = 1.5418 Å). Input: a structure optimized by DFT (GGA-PBE).
Neutral-atom scattering factors, no anomalous dispersion.

Most intense lines, 2θ = 10–90°, most intense first:
| two_theta | I/Imax | hkl |
| --- | --- | --- |
| 27.9 | 100 | 1 0 2 |
| 34.1 | 51 | 1 1 2 |
| 39.3 | 45 | 2 0 0 |
| 48.9 | 42 | 2 1 2 |
| 21.8 | 28 | 1 0 1 |
| 49.5 | 24 | 1 1 4 |
| 45.1 | 22 | 1 0 4 |
| 19.4 | 18 | 1 0 0 |
| 61.3 | 17 | 2 1 4 |
| 27.5 | 16 | 1 1 0 |
| 56.8 | 15 | 2 2 0 |
| 68.0 | 13 | 3 1 2 |

Structure:
```
data_Ba2Te2AuF2
_chemical_formula_sum 'Ba2 Te2 Au1 F2'
_cell_length_a 4.5853
_cell_length_b 4.5853
_cell_length_c 8.9518
_cell_angle_alpha 90.00
_cell_angle_beta 90.00
_cell_angle_gamma 90.00
_symmetry_space_group_name_H-M 'P -4 m 2'
_symmetry_Int_Tables_number 115
loop_
_symmetry_equiv_pos_as_xyz
'x,y,z'
'y,-x,-z'
'-x,-y,z'
'-y,x,-z'
'-x,y,z'
'-y,-x,-z'
'x,-y,z'
'y,x,-z'
loop_
_atom_site_label
_atom_site_type_symbol
_atom_site_fract_x
_atom_site_fract_y
_atom_site_fract_z
Ba1 Ba 0.0000 0.5000 0.1592
Te1 Te 0.0000 0.5000 0.6639
Au1 Au 0.0000 0.0000 0.5000
F1 F 0.0000 0.0000 0.0000
F2 F 0.5000 0.5000 0.0000
```

=====

Entry 2:
# BaFeReAu
Computed powder diffraction line list, Cu Kα (λ = 1.5418 Å). Input: a structure optimized by DFT (GGA-PBE).
Neutral-atom scattering factors, no anomalous dispersion.

Most intense lines, 2θ = 10–90°, most intense first:
| two_theta | I/Imax | hkl |
| --- | --- | --- |
| 36.3 | 100 | 2 2 0 |
| 65.3 | 36 | 4 2 2 |
| 52.3 | 18 | 4 0 0 |
| 88.3 | 17 | 6 2 0 |
| 22.0 | 15 | 1 1 1 |
| 77.1 | 11 | 4 4 0 |
| 42.9 | 9 | 3 1 1 |
| 57.4 | 4 | 3 3 1 |
| 81.3 | 3 | 5 3 1 |
| 69.8 | 3 | 5 1 1 |
| 25.5 | 1 | 2 0 0 |
| 59.0 | 1 | 4 2 0 |

Structure:
```
data_BaFeReAu
_chemical_formula_sum 'Ba4 Fe4 Re4 Au4'
_cell_length_a 6.9984
_cell_length_b 6.9984
_cell_length_c 6.9984
_cell_angle_alpha 90.00
_cell_angle_beta 90.00
_cell_angle_gamma 90.00
_symmetry_space_group_name_H-M 'F -4 3 m'
_symmetry_Int_Tables_number 216
_symmetry_space_group_name_Hall 'F -4 2 3'
loop_
_atom_site_label
_atom_site_type_symbol
_atom_site_fract_x
_atom_site_fract_y
_atom_site_fract_z
Ba1 Ba 0.0000 0.0000 0.0000
Fe1 Fe 0.2500 0.2500 0.7500
Re1 Re 0.0000 0.0000 0.5000
Au1 Au 0.2500 0.2500 0.2500
```

=====

Entry 3:
# BaGaGeAu2
Computed powder diffraction line list, Cu Kα (λ = 1.5418 Å). Input: a structure optimized by DFT (GGA-PBE).
Neutral-atom scattering factors, no anomalous dispersion.

Most intense lines, 2θ = 10–90°, most intense first:
| two_theta | I/Imax | hkl |
| --- | --- | --- |
| 31.7 | 100 | 1 1 2 |
| 37.8 | 89 | 2 0 0 |
| 31.9 | 66 | 1 0 3 |
| 44.0 | 44 | 1 1 4 |
| 27.9 | 38 | 1 1 1 |
| 50.3 | 37 | 2 1 3 |
| 54.6 | 31 | 2 2 0 |
| 72.6 | 27 | 0 0 8 |
| 62.4 | 26 | 2 1 5 |
| 64.5 | 26 | 3 1 2 |
| 47.7 | 20 | 1 0 5 |
| 85.0 | 18 | 2 0 8 |

Structure:
```
data_BaGaGeAu2
_chemical_formula_sum 'Ba2 Ga2 Ge2 Au4'
_cell_length_a 4.7559
_cell_length_b 4.7559
_cell_length_c 10.4036
_cell_angle_alpha 90.00
_cell_angle_beta 90.00
_cell_angle_gamma 90.00
_symmetry_space_group_name_H-M 'P 4/n m m'
_symmetry_Int_Tables_number 129
loop_
_symmetry_equiv_pos_as_xyz
'x,y,z'
'-x,-y,-z'
'-y+1/2,x,z'
'y+1/2,-x,-z'
'-x+1/2,-y+1/2,z'
'x+1/2,y+1/2,-z'
'y,-x+1/2,z'
'-y,x+1/2,-z'
'x+1/2,-y,-z'
'-x+1/2,y,z'
'-y,-x,-z'
'y,x,z'
'-x,y+1/2,-z'
'x,-y+1/2,z'
'y+1/2,x+1/2,-z'
'-y+1/2,-x+1/2,z'
loop_
_atom_site_label
_atom_site_type_symbol
_atom_site_fract_x
_atom_site_fract_y
_atom_site_fract_z
Ba1 Ba 0.2500 0.2500 0.2452
Ga1 Ga 0.2500 0.2500 0.6186
Ge1 Ge 0.2500 0.7500 0.0000
Au1 Au 0.2500 0.2500 0.8745
Au2 Au 0.2500 0.7500 0.5000
```

=====

Entry 4:
# BaGa2NiAu
Computed powder diffraction line list, Cu Kα (λ = 1.5418 Å). Input: a structure optimized by DFT (GGA-PBE).
Neutral-atom scattering factors, no anomalous dispersion.

Most intense lines, 2θ = 10–90°, most intense first:
| two_theta | I/Imax | hkl |
| --- | --- | --- |
| 32.0 | 100 | 1 0 3 |
| 39.9 | 88 | 2 0 0 |
| 32.7 | 76 | 1 1 2 |
| 27.9 | 54 | 1 1 0 |
| 52.1 | 50 | 2 1 3 |
| 25.8 | 43 | 1 0 2 |
| 47.0 | 30 | 1 0 5 |
| 57.8 | 30 | 2 2 0 |
| 44.2 | 29 | 1 1 4 |
| 63.4 | 25 | 2 1 5 |
| 68.0 | 18 | 3 1 2 |
| 39.2 | 17 | 1 0 4 |

Structure:
```
data_BaGa2NiAu
_chemical_formula_sum 'Ba2 Ga4 Ni2 Au2'
_cell_length_a 4.5145
_cell_length_b 4.5145
_cell_length_c 10.6858
_cell_angle_alpha 90.00
_cell_angle_beta 90.00
_cell_angle_gamma 90.00
_symmetry_space_group_name_H-M 'P 4/n m m'
_symmetry_Int_Tables_number 129
loop_
_symmetry_equiv_pos_as_xyz
'x,y,z'
'-x,-y,-z'
'-y+1/2,x,z'
'y+1/2,-x,-z'
'-x+1/2,-y+1/2,z'
'x+1/2,y+1/2,-z'
'y,-x+1/2,z'
'-y,x+1/2,-z'
'x+1/2,-y,-z'
'-x+1/2,y,z'
'-y,-x,-z'
'y,x,z'
'-x,y+1/2,-z'
'x,-y+1/2,z'
'y+1/2,x+1/2,-z'
'-y+1/2,-x+1/2,z'
loop_
_atom_site_label
_atom_site_type_symbol
_atom_site_fract_x
_atom_site_fract_y
_atom_site_fract_z
Ba1 Ba 0.2500 0.2500 0.2350
Ga1 Ga 0.2500 0.2500 0.9077
Ga2 Ga 0.2500 0.7500 0.5000
Ni1 Ni 0.2500 0.7500 0.0000
Au1 Au 0.2500 0.2500 0.6378
```

=====

Entry 5:
# Ba2HgGe2Au
Computed powder diffraction line list, Cu Kα (λ = 1.5418 Å). Input: a structure optimized by DFT (GGA-PBE).
Neutral-atom scattering factors, no anomalous dispersion.

Most intense lines, 2θ = 10–90°, most intense first:
| two_theta | I/Imax | hkl |
| --- | --- | --- |
| 28.8 | 100 | 1 0 2 |
| 39.0 | 51 | 1 1 0 |
| 54.5 | 38 | 1 1 4 |
| 24.0 | 24 | 1 0 1 |
| 49.2 | 23 | 2 0 2 |
| 64.5 | 20 | 2 1 2 |
| 36.5 | 20 | 0 0 4 |
| 18.0 | 14 | 0 0 2 |
| 82.3 | 12 | 3 0 4 |
| 61.0 | 11 | 1 0 6 |
| 35.4 | 10 | 1 0 3 |
| 43.3 | 10 | 1 1 2 |

Structure:
```
data_Ba2HgGe2Au
_chemical_formula_sum 'Ba2 Hg1 Ge2 Au1'
_cell_length_a 4.6151
_cell_length_b 4.6151
_cell_length_c 9.8490
_cell_angle_alpha 90.00
_cell_angle_beta 90.00
_cell_angle_gamma 120.00
_symmetry_space_group_name_H-M 'P -6 m 2'
_symmetry_Int_Tables_number 187
_symmetry_space_group_name_Hall 'P -6 2'
loop_
_atom_site_label
_atom_site_type_symbol
_atom_site_fract_x
_atom_site_fract_y
_atom_site_fract_z
Ba1 Ba 0.0000 0.0000 0.2385
Hg1 Hg 0.3333 0.6667 0.5000
Ge1 Ge 0.3333 0.6667 0.0000
Ge2 Ge 0.6667 0.3333 0.5000
Au1 Au 0.6667 0.3333 0.0000
```

=====

Entry 6:
# Ba3Ge4Pd2Au2
Computed powder diffraction line list, Cu Kα (λ = 1.5418 Å). Input: a structure optimized by DFT (GGA-PBE).
Neutral-atom scattering factors, no anomalous dispersion.

Most intense lines, 2θ = 10–90°, most intense first:
| two_theta | I/Imax | hkl |
| --- | --- | --- |
| 30.5 | 100 | 1 1 4 |
| 30.8 | 32 | 0 1 7 |
| 38.4 | 30 | 0 2 0 |
| 36.8 | 30 | 1 0 9 |
| 39.1 | 30 | 2 0 0 |
| 56.0 | 20 | 2 2 0 |
| 54.3 | 19 | 1 2 9 |
| 50.6 | 17 | 2 1 7 |
| 25.6 | 14 | 0 1 5 |
| 64.1 | 14 | 1 1 16 |
| 44.5 | 13 | 1 1 10 |
| 43.1 | 13 | 1 0 11 |

Structure:
```
data_Ba3Ge4Pd2Au2
_chemical_formula_sum 'Ba6 Ge8 Pd4 Au4'
_cell_length_a 4.6045
_cell_length_b 4.6862
_cell_length_c 25.9280
_cell_angle_alpha 90.00
_cell_angle_beta 90.00
_cell_angle_gamma 90.00
_symmetry_space_group_name_H-M 'I m m m'
_symmetry_Int_Tables_number 71
_symmetry_space_group_name_Hall '-I 2 2'
loop_
_atom_site_label
_atom_site_type_symbol
_atom_site_fract_x
_atom_site_fract_y
_atom_site_fract_z
Ba1 Ba 0.0000 0.0000 0.0000
Ba2 Ba 0.0000 0.5000 0.3506
Ge1 Ge 0.0000 0.0000 0.4512
Ge2 Ge 0.0000 0.5000 0.2066
Pd1 Pd 0.0000 0.0000 0.2488
Au1 Au 0.0000 0.5000 0.1008
```

=====

Entry 7:
# BaGeAu2SeS3
Computed powder diffraction line list, Cu Kα (λ = 1.5418 Å). Input: a structure optimized by DFT (GGA-PBE).
Neutral-atom scattering factors, no anomalous dispersion.

Most intense lines, 2θ = 10–90°, most intense first:
| two_theta | I/Imax | hkl |
| --- | --- | --- |
| 22.2 | 100 | 0 1 1 |
| 28.1 | 86 | 1 2 0 |
| 34.4 | 74 | 0 1 -2 |
| 35.3 | 62 | 2 0 0 |
| 35.8 | 57 | 2 2 2 |
| 17.5 | 57 | 1 1 0 |
| 27.7 | 55 | 1 -1 1 |
| 27.9 | 49 | 1 1 -1 |
| 27.4 | 49 | 2 1 1 |
| 15.4 | 48 | 0 1 0 |
| 27.8 | 42 | 1 0 2 |
| 43.0 | 33 | 1 3 1 |

Structure:
```
data_BaGeAu2SeS3
_chemical_formula_sum 'Ba1 Ge1 Au2 Se1 S3'
_cell_length_a 6.5071
_cell_length_b 6.5532
_cell_length_c 6.6120
_cell_angle_alpha 77.76
_cell_angle_beta 60.56
_cell_angle_gamma 61.25
_symmetry_space_group_name_H-M 'P 1'
_symmetry_Int_Tables_number 1
loop_
_symmetry_equiv_pos_as_xyz
'x,y,z'
loop_
_atom_site_label
_atom_site_type_symbol
_atom_site_fract_x
_atom_site_fract_y
_atom_site_fract_z
Ba1 Ba 0.0000 0.0000 0.0000
Ge1 Ge 0.9916 0.4982 0.5096
Au1 Au 0.4943 0.3222 0.6783
Au2 Au 0.5058 0.6859 0.3253
Se1 Se 0.3736 0.4932 0.1600
S1 S 0.0335 0.4975 0.8310
S2 S 0.6414 0.8302 0.5096
S3 S 0.9552 0.1710 0.5093
```

=====

Entry 8:
# BaGeAu2Se2S2
Computed powder diffraction line list, Cu Kα (λ = 1.5418 Å). Input: a structure optimized by DFT (GGA-PBE).
Neutral-atom scattering factors, no anomalous dispersion.

Most intense lines, 2θ = 10–90°, most intense first:
| two_theta | I/Imax | hkl |
| --- | --- | --- |
| 27.5 | 100 | 0 2 1 |
| 22.1 | 79 | 2 0 0 |
| 27.7 | 78 | 2 2 -1 |
| 34.1 | 72 | 1 3 0 |
| 35.0 | 62 | 0 0 2 |
| 35.4 | 60 | 4 0 -2 |
| 15.3 | 49 | 1 1 0 |
| 27.9 | 46 | 1 1 1 |
| 17.1 | 45 | 1 1 -1 |
| 27.1 | 39 | 2 0 -2 |
| 42.5 | 37 | 4 2 -1 |
| 17.3 | 31 | 0 0 1 |

Structure:
```
data_BaGeAu2Se2S2
_chemical_formula_sum 'Ba2 Ge2 Au4 Se4 S4'
_cell_length_a 10.3384
_cell_length_b 8.3490
_cell_length_c 6.5881
_cell_angle_alpha 90.00
_cell_angle_beta 128.78
_cell_angle_gamma 90.00
_symmetry_space_group_name_H-M 'C 1 2 1'
_symmetry_Int_Tables_number 5
loop_
_symmetry_equiv_pos_as_xyz
'x,y,z'
'-x,y,-z'
'x+1/2,y+1/2,z'
'-x+1/2,y+1/2,-z'
loop_
_atom_site_label
_atom_site_type_symbol
_atom_site_fract_x
_atom_site_fract_y
_atom_site_fract_z
Ba1 Ba 0.0000 0.0000 0.0000
Ge1 Ge 0.0000 0.4880 0.0000
Au1 Au 0.0000 0.3226 0.5000
Au2 Au 0.0000 0.6780 0.5000
Se1 Se 0.1782 0.6621 0.3713
S1 S 0.1591 0.3289 0.9564
```

=====

Entry 9:
# BaSrSiGe2Au
Computed powder diffraction line list, Cu Kα (λ = 1.5418 Å). Input: a structure optimized by DFT (GGA-PBE).
Neutral-atom scattering factors, no anomalous dispersion.

Most intense lines, 2θ = 10–90°, most intense first:
| two_theta | I/Imax | hkl |
| --- | --- | --- |
| 30.1 | 100 | 2 2 2 |
| 41.4 | 44 | 4 0 0 |
| 56.9 | 35 | 4 4 0 |
| 22.4 | 23 | 1 1 3 |
| 52.0 | 22 | 0 2 8 |
| 37.3 | 20 | 0 4 0 |
| 68.6 | 19 | 4 2 8 |
| 62.8 | 12 | 2 6 2 |
| 14.9 | 11 | 1 1 1 |
| 87.4 | 11 | 0 4 12 |
| 18.4 | 8 | 0 2 0 |
| 75.6 | 8 | 0 0 12 |

Structure:
```
data_BaSrSiGe2Au
_chemical_formula_sum 'Ba8 Sr8 Si8 Ge16 Au8'
_cell_length_a 8.7152
_cell_length_b 9.6507
_cell_length_c 15.1063
_cell_angle_alpha 90.00
_cell_angle_beta 90.00
_cell_angle_gamma 90.00
_symmetry_space_group_name_H-M 'F m m m'
_symmetry_Int_Tables_number 69
_symmetry_space_group_name_Hall '-F 2 2'
loop_
_atom_site_label
_atom_site_type_symbol
_atom_site_fract_x
_atom_site_fract_y
_atom_site_fract_z
Ba1 Ba 0.2500 0.2500 0.2500
Sr1 Sr 0.0000 0.2472 0.0000
Si1 Si 0.0000 0.0000 0.1639
Ge1 Ge 0.2443 0.0000 0.0824
Au1 Au 0.0000 0.0000 0.3315
```

=====

Entry 10:
# BaSrSi2GeAu
Computed powder diffraction line list, Cu Kα (λ = 1.5418 Å). Input: a structure optimized by DFT (GGA-PBE).
Neutral-atom scattering factors, no anomalous dispersion.

Most intense lines, 2θ = 10–90°, most intense first:
| two_theta | I/Imax | hkl |
| --- | --- | --- |
| 30.3 | 100 | 0 2 4 |
| 41.9 | 26 | 2 0 6 |
| 57.3 | 22 | 2 4 6 |
| 37.3 | 19 | 0 4 0 |
| 27.8 | 18 | 2 2 0 |
| 52.6 | 17 | 4 2 4 |
| 11.8 | 14 | 0 0 2 |
| 42.0 | 14 | 4 0 0 |
| 22.6 | 13 | 1 1 3 |
| 62.9 | 12 | 0 6 4 |
| 57.4 | 12 | 4 4 0 |
| 69.3 | 9 | 2 2 10 |

Structure:
```
data_BaSrSi2GeAu
_chemical_formula_sum 'Ba8 Sr8 Si16 Ge8 Au8'
_cell_length_a 8.5979
_cell_length_b 9.6529
_cell_length_c 14.9602
_cell_angle_alpha 90.00
_cell_angle_beta 90.00
_cell_angle_gamma 90.00
_symmetry_space_group_name_H-M 'F m m m'
_symmetry_Int_Tables_number 69
_symmetry_space_group_name_Hall '-F 2 2'
loop_
_atom_site_label
_atom_site_type_symbol
_atom_site_fract_x
_atom_site_fract_y
_atom_site_fract_z
Ba1 Ba 0.2500 0.2500 0.2500
Sr1 Sr 0.0000 0.2453 0.0000
Si1 Si 0.2482 0.0000 0.0787
Ge1 Ge 0.0000 0.0000 0.1610
Au1 Au 0.0000 0.0000 0.3422
```

=====

Entry 11:
# BaSrGe3Au
Computed powder diffraction line list, Cu Kα (λ = 1.5418 Å). Input: a structure optimized by DFT (GGA-PBE).
Neutral-atom scattering factors, no anomalous dispersion.

Most intense lines, 2θ = 10–90°, most intense first:
| two_theta | I/Imax | hkl |
| --- | --- | --- |
| 30.0 | 100 | 0 2 4 |
| 41.0 | 48 | 4 0 0 |
| 57.0 | 36 | 4 4 0 |
| 51.6 | 22 | 4 2 4 |
| 37.8 | 20 | 0 4 0 |
| 68.0 | 19 | 2 2 10 |
| 18.7 | 12 | 0 2 0 |
| 63.5 | 12 | 0 6 4 |
| 86.9 | 11 | 6 4 6 |
| 22.2 | 11 | 1 1 3 |
| 74.7 | 8 | 6 0 6 |
| 45.4 | 7 | 4 2 0 |

Structure:
```
data_BaSrGe3Au
_chemical_formula_sum 'Ba8 Sr8 Ge24 Au8'
_cell_length_a 8.8058
_cell_length_b 9.5139
_cell_length_c 15.2564
_cell_angle_alpha 90.00
_cell_angle_beta 90.00
_cell_angle_gamma 90.00
_symmetry_space_group_name_H-M 'F m m m'
_symmetry_Int_Tables_number 69
_symmetry_space_group_name_Hall '-F 2 2'
loop_
_atom_site_label
_atom_site_type_symbol
_atom_site_fract_x
_atom_site_fract_y
_atom_site_fract_z
Ba1 Ba 0.2500 0.2500 0.2500
Sr1 Sr 0.0000 0.2477 0.0000
Ge1 Ge 0.0000 0.0000 0.1639
Ge2 Ge 0.2483 0.0000 0.0815
Au1 Au 0.0000 0.0000 0.3346
```

=====

Entry 12:
# BaSrGe3Au
Computed powder diffraction line list, Cu Kα (λ = 1.5418 Å). Input: a structure optimized by DFT (GGA-PBE).
Neutral-atom scattering factors, no anomalous dispersion.

Most intense lines, 2θ = 10–90°, most intense first:
| two_theta | I/Imax | hkl |
| --- | --- | --- |
| 29.8 | 100 | 2 2 2 |
| 41.0 | 31 | 2 0 6 |
| 56.6 | 24 | 2 4 6 |
| 37.3 | 20 | 0 4 0 |
| 40.8 | 16 | 4 0 0 |
| 51.4 | 14 | 4 2 4 |
| 62.7 | 13 | 2 6 2 |
| 56.5 | 12 | 4 4 0 |
| 18.4 | 12 | 0 2 0 |
| 22.2 | 11 | 1 1 3 |
| 51.6 | 8 | 0 2 8 |
| 86.4 | 7 | 6 4 6 |

Structure:
```
data_BaSrGe3Au
_chemical_formula_sum 'Ba8 Sr8 Ge24 Au8'
_cell_length_a 8.8370
_cell_length_b 9.6493
_cell_length_c 15.2385
_cell_angle_alpha 90.00
_cell_angle_beta 90.00
_cell_angle_gamma 90.00
_symmetry_space_group_name_H-M 'F m m m'
_symmetry_Int_Tables_number 69
_symmetry_space_group_name_Hall '-F 2 2'
loop_
_atom_site_label
_atom_site_type_symbol
_atom_site_fract_x
_atom_site_fract_y
_atom_site_fract_z
Ba1 Ba 0.0000 0.2477 0.0000
Sr1 Sr 0.2500 0.2500 0.2500
Ge1 Ge 0.0000 0.0000 0.1659
Ge2 Ge 0.2483 0.0000 0.0837
Au1 Au 0.0000 0.0000 0.3318
```